Entry 1:
# Co2Hg2Os
Theoretical powder X-ray diffraction pattern, Cu Kα, 1.54184 Å. Input: a cell relaxed with GGA-PBE.

Principal peaks in the range 10 to 90 degrees two-theta, in order of rising 2θ:
d 8.367, I = 25.1, (0 0 2); d 2.757, I = 81.0, (1 0 3); d 2.302, I = 100.0, (1 0 5); d 2.243, I = 32.0, (1 1 0); d 2.166, I = 37.5, (1 1 2); d 2.092, I = 23.8, (0 0 8); d 1.976, I = 20.4, (1 1 4); d 1.586, I = 25.3, (2 0 0); d 1.341, I = 20.6, (1 1 10); d 1.306, I = 33.9, (2 1 5)

Structural model:
Unit cell a=3.1714 b=3.1714 c=16.7336 alpha=90.00 beta=90.00 gamma=90.00
Space group I4/mmm (No. 139)
Inequivalent atoms, fractional coordinates:
1 Co 0.0000 0.5000 0.2500 x4
2 Hg 0.0000 0.0000 0.1120 x4
3 Os 0.0000 0.0000 0.5000 x2

---

Entry 2:
# PaCoHg
Theoretical powder X-ray diffraction pattern, Cu Kα, 1.54184 Å. Input: a cell relaxed with GGA-PBE.

Principal peaks in the range 10 to 90 degrees two-theta, in order of rising 2θ:
d 2.904, I = 57.1, (0 4 1); d 2.879, I = 17.8, (0 6 0); d 2.598, I = 100.0, (1 1 1); d 2.473, I = 62.3, (1 5 0); d 2.321, I = 25.8, (0 6 1); d 2.092, I = 21.2, (1 5 1); d 1.961, I = 24.5, (0 0 2); d 1.770, I = 17.8, (2 0 0); d 1.550, I = 25.9, (1 9 1); d 1.537, I = 29.7, (1 5 2)

Structural model:
Unit cell a=3.5407 b=17.2747 c=3.9222 alpha=90.00 beta=90.00 gamma=90.00
Space group Cmcm (No. 63)
Inequivalent atoms, fractional coordinates:
1 Pa 0.0000 0.0856 0.2500 x4
2 Co 0.0000 0.4476 0.2500 x4
3 Hg 0.0000 0.2926 0.2500 x4

---

Entry 3:
# Pm3CoHg2
Theoretical powder X-ray diffraction pattern, Cu Kα, 1.54184 Å. Input: a cell relaxed with GGA-PBE.

Principal peaks in the range 10 to 90 degrees two-theta, in order of rising 2θ:
d 2.942, I = 71.6, (1 2 -1); d 2.784, I = 71.1, (1 0 2); d 2.720, I = 56.0, (0 2 2); d 2.629, I = 100.0, (2 0 -1); d 2.623, I = 37.3, (1 2 1); d 2.210, I = 20.9, (1 2 2); d 1.891, I = 38.6, (2 2 1); d 1.817, I = 21.1, (0 4 0); d 1.522, I = 23.6, (1 4 2); d 1.495, I = 37.0, (2 4 -1)

Structural model:
Unit cell a=5.2630 b=7.2699 c=8.6179 alpha=90.00 beta=107.86 gamma=90.00
Space group P2_1/m (No. 11)
Inequivalent atoms, fractional coordinates:
1 Pm 0.0025 0.2500 0.0000 x2
2 Pm 0.3669 0.0000 0.7341 x4
3 Co 0.4976 0.7500 0.0000 x2
4 Hg 0.1956 0.2500 0.3910 x2
5 Hg 0.1957 0.7500 0.3910 x2

---

Entry 4:
# Pr5CoHg
Theoretical powder X-ray diffraction pattern, Cu Kα, 1.54184 Å. Input: a cell relaxed with GGA-PBE.

Principal peaks in the range 10 to 90 degrees two-theta, in order of rising 2θ:
d 3.221, I = 29.7, (2 0 2); d 3.112, I = 55.0, (3 1 -1); d 3.081, I = 33.0, (0 2 2); d 2.988, I = 61.4, (2 2 -1); d 2.942, I = 64.6, (2 2 0); d 2.921, I = 68.5, (1 1 3); d 2.859, I = 100.0, (2 0 -4); d 2.837, I = 36.3, (2 2 -2); d 2.628, I = 30.0, (0 2 3); d 2.556, I = 30.4, (4 0 -2)

Structural model:
Unit cell a=10.3051 b=7.3661 c=11.8546 alpha=90.00 beta=108.39 gamma=90.00
Space group C2/c (No. 15)
Inequivalent atoms, fractional coordinates:
1 Pr 0.0000 0.0144 0.2500 x4
2 Pr 0.1161 0.3207 0.5516 x8
3 Pr 0.2358 0.1817 0.1348 x8
4 Co 0.0000 0.0000 0.0000 x4
5 Hg 0.0000 0.4429 0.2500 x4

---

Entry 5:
# Sc5CoHg2
Theoretical powder X-ray diffraction pattern, Cu Kα, 1.54184 Å. Input: a cell relaxed with GGA-PBE.

Principal peaks in the range 10 to 90 degrees two-theta, in order of rising 2θ:
d 5.532, I = 22.6, (1 1 0); d 4.731, I = 47.9, (0 0 1); d 4.184, I = 31.5, (1 2 0); d 3.596, I = 49.2, (1 1 1); d 3.196, I = 39.0, (1 3 0); d 3.066, I = 29.3, (2 1 0); d 2.649, I = 59.4, (1 3 1); d 2.573, I = 100.0, (2 1 1); d 2.391, I = 69.3, (0 4 1); d 2.366, I = 47.5, (0 0 2)

Structural model:
Unit cell a=6.3817 b=11.0845 c=4.7314 alpha=90.00 beta=90.00 gamma=90.00
Space group Pbam (No. 55)
Inequivalent atoms, fractional coordinates:
1 Sc 0.0000 0.0000 0.0000 x2
2 Sc 0.1270 0.2939 0.0000 x4
3 Sc 0.1650 0.5923 0.5000 x4
4 Co 0.0000 0.5000 0.0000 x2
5 Hg 0.1029 0.8498 0.5000 x4

---

Entry 6:
# Sc4Co2Hg
Theoretical powder X-ray diffraction pattern, Cu Kα, 1.54184 Å. Input: a cell relaxed with GGA-PBE.

Principal peaks in the range 10 to 90 degrees two-theta, in order of rising 2θ:
d 4.107, I = 20.5, (0 2 0); d 3.502, I = 72.4, (1 1 2); d 2.597, I = 68.6, (0 2 4); d 2.371, I = 100.0, (2 0 0); d 2.246, I = 24.6, (1 1 5); d 1.963, I = 20.0, (2 2 2); d 1.936, I = 20.9, (2 0 4); d 1.751, I = 20.9, (2 2 4); d 1.409, I = 20.2, (1 5 4); d 1.369, I = 25.3, (3 3 0)

Structural model:
Unit cell a=4.7407 b=8.2155 c=13.4113 alpha=90.00 beta=90.00 gamma=90.00
Space group Cmcm (No. 63)
Inequivalent atoms, fractional coordinates:
1 Sc 0.0000 0.0000 0.0000 x4
2 Sc 0.0000 0.3330 0.1217 x8
3 Sc 0.0000 0.3338 0.7500 x4
4 Co 0.0000 0.3335 0.5568 x8
5 Hg 0.0000 0.0006 0.7500 x4

---

Entry 7:
# ZrScCoHg
Theoretical powder X-ray diffraction pattern, Cu Kα, 1.54184 Å. Input: a cell relaxed with GGA-PBE.

Principal peaks in the range 10 to 90 degrees two-theta, in order of rising 2θ:
d 7.361, I = 26.4, (0 0 1); d 3.188, I = 10.9, (1 0 0); d 2.925, I = 37.7, (1 0 1); d 2.410, I = 100.0, (1 0 2); d 2.254, I = 44.9, (1 1 0); d 1.660, I = 12.6, (1 1 3); d 1.594, I = 22.6, (2 0 0); d 1.426, I = 16.6, (1 1 4); d 1.337, I = 14.0, (1 0 5); d 1.329, I = 29.4, (2 1 2)

Structural model:
Unit cell a=3.1881 b=3.1881 c=7.3606 alpha=90.00 beta=90.00 gamma=90.00
Space group P4mm (No. 99)
Inequivalent atoms, fractional coordinates:
1 Zr 0.0000 0.0000 0.0000 x1
2 Sc 0.0000 0.0000 0.5770 x1
3 Co 0.5000 0.5000 0.7881 x1
4 Hg 0.5000 0.5000 0.2983 x1

---

Entry 8:
# CoHgSe2
Theoretical powder X-ray diffraction pattern, Cu Kα, 1.54184 Å. Input: a cell relaxed with GGA-PBE.

Principal peaks in the range 10 to 90 degrees two-theta, in order of rising 2θ:
d 4.085, I = 35.7, (0 0 6); d 2.999, I = 38.3, (1 0 1); d 2.933, I = 33.6, (0 1 2); d 2.723, I = 26.6, (0 0 9); d 2.710, I = 60.4, (1 0 4); d 2.572, I = 100.0, (0 1 5); d 2.287, I = 23.7, (1 0 7); d 1.744, I = 43.7, (1 1 0); d 1.599, I = 22.7, (1 0 13); d 1.469, I = 24.9, (1 1 9)

Structural model:
Unit cell a=3.4887 b=3.4887 c=24.5097 alpha=90.00 beta=90.00 gamma=120.00
Space group R3m (No. 160, hexagonal axes)
Inequivalent atoms, fractional coordinates:
1 Co 0.0000 0.0000 0.0000 x3
2 Hg 0.0000 0.0000 0.8316 x3
3 Se 0.0000 0.0000 0.3847 x3
4 Se 0.0000 0.0000 0.6149 x3

---

Entry 9:
# Sm12Co2Hg5
Theoretical powder X-ray diffraction pattern, Cu Kα, 1.54184 Å. Input: a cell relaxed with GGA-PBE.

Principal peaks in the range 10 to 90 degrees two-theta, in order of rising 2θ:
d 4.369, I = 61.8, (3 1 0); d 4.156, I = 64.4, (1 1 -2); d 2.968, I = 100.0, (0 2 2); d 2.758, I = 68.1, (4 2 0); d 2.667, I = 62.7, (6 0 0); d 2.628, I = 85.1, (4 2 -2); d 2.480, I = 55.0, (2 0 -4); d 2.193, I = 28.0, (4 2 2); d 1.903, I = 38.6, (0 4 0); d 1.510, I = 26.2, (2 4 -4)

Structural model:
Unit cell a=16.7700 b=7.6148 c=9.9182 alpha=90.00 beta=107.43 gamma=90.00
Space group C2/m (No. 12)
Inequivalent atoms, fractional coordinates:
1 Sm 0.0004 0.0000 0.1816 x4
2 Sm 0.0008 0.5000 0.2293 x4
3 Sm 0.1503 0.2502 0.5724 x8
4 Sm 0.1602 0.2674 0.0814 x8
5 Co 0.0000 0.2913 0.0000 x4
6 Hg 0.0000 0.0000 0.5000 x2
7 Hg 0.1935 0.5000 0.8358 x4
8 Hg 0.1975 0.5000 0.3599 x4

---

Entry 10:
# SmCoHg
Theoretical powder X-ray diffraction pattern, Cu Kα, 1.54184 Å. Input: a cell relaxed with GGA-PBE.

Principal peaks in the range 10 to 90 degrees two-theta, in order of rising 2θ:
d 2.843, I = 36.4, (0 4 1); d 2.761, I = 100.0, (1 1 1); d 2.562, I = 69.8, (1 5 0); d 2.257, I = 35.8, (0 6 1); d 2.012, I = 20.2, (2 0 0); d 1.950, I = 18.4, (0 0 2); d 1.642, I = 14.9, (2 4 1); d 1.552, I = 30.2, (1 5 2); d 1.502, I = 19.7, (2 6 1); d 1.264, I = 14.5, (0 10 2)

Structural model:
Unit cell a=4.0232 b=16.6089 c=3.8997 alpha=90.00 beta=90.00 gamma=90.00
Space group Cmcm (No. 63)
Inequivalent atoms, fractional coordinates:
1 Sm 0.0000 0.0971 0.2500 x4
2 Co 0.0000 0.4669 0.2500 x4
3 Hg 0.0000 0.2988 0.2500 x4

---

Entry 11:
# SrTlCo2Hg
Theoretical powder X-ray diffraction pattern, Cu Kα, 1.54184 Å. Input: a cell relaxed with GGA-PBE.

Principal peaks in the range 10 to 90 degrees two-theta, in order of rising 2θ:
d 5.009, I = 100.0, (1 0 0); d 3.542, I = 60.3, (1 1 0); d 2.985, I = 28.0, (1 1 1); d 2.773, I = 46.5, (0 0 2); d 2.505, I = 70.2, (2 0 0); d 2.426, I = 33.3, (1 0 2); d 2.240, I = 26.7, (2 1 0); d 2.184, I = 33.8, (1 1 2); d 1.859, I = 57.7, (2 0 2); d 1.493, I = 28.1, (2 2 2)

Structural model:
Unit cell a=5.0094 b=5.0094 c=5.5464 alpha=90.00 beta=90.00 gamma=90.00
Space group P4/mmm (No. 123)
Inequivalent atoms, fractional coordinates:
1 Sr 0.0000 0.0000 0.0000 x1
2 Tl 0.5000 0.5000 0.5000 x1
3 Co 0.0000 0.5000 0.5000 x2
4 Hg 0.5000 0.5000 0.0000 x1

---

Entry 12:
# Tb11Co4Hg9
Theoretical powder X-ray diffraction pattern, Cu Kα, 1.54184 Å. Input: a cell relaxed with GGA-PBE.

Principal peaks in the range 10 to 90 degrees two-theta, in order of rising 2θ:
d 3.203, I = 7.3, (3 5 0); d 2.990, I = 9.2, (0 4 1); d 2.852, I = 13.3, (3 1 1); d 2.709, I = 9.6, (1 5 1); d 2.670, I = 8.1, (3 3 1); d 2.541, I = 100.0, (0 6 1); d 2.358, I = 7.2, (1 9 0); d 2.342, I = 8.4, (6 2 0); d 1.798, I = 14.6, (0 0 2); d 1.467, I = 15.4, (4 6 2)

Structural model:
Unit cell a=14.3954 b=21.5123 c=3.5945 alpha=90.00 beta=90.00 gamma=90.00
Space group Cmmm (No. 65)
Inequivalent atoms, fractional coordinates:
1 Tb 0.0000 0.0000 0.0000 x2
2 Tb 0.0000 0.1644 0.0000 x4
3 Tb 0.0000 0.3738 0.0000 x4
4 Tb 0.1899 0.5000 0.0000 x4
5 Tb 0.2477 0.3343 0.0000 x8
6 Co 0.1468 0.4008 0.5000 x8
7 Hg 0.0000 0.5000 0.5000 x2
8 Hg 0.1071 0.2623 0.5000 x8
9 Hg 0.1453 0.0724 0.5000 x8